[1]
This entry pairs a crystal structure of Pm3DyTh2N6 with its computed powder diffractogram. Radiation: Cu Kα. Structure: a PBE-relaxed structure.

Cell and atoms:
a b c (Å): 8.067 8.067 7.220
angles (deg): 102.93 102.93 25.92
Sites, in units of the cell vectors:
Pm 0.000 0.000 0.000
Pm 0.336 0.336 0.665
Pm 0.664 0.664 0.335
Dy 0.000 0.000 0.500
Th 0.336 0.336 0.172
Th 0.664 0.664 0.828
N 0.163 0.163 0.587
N 0.168 0.168 0.077
N 0.497 0.497 0.256
N 0.503 0.503 0.744
N 0.832 0.832 0.923
N 0.837 0.837 0.413

Principal peaks in the range 15 to 90 degrees two-theta, by intensity:
| two_theta | I (rel.) |
| --- | --- |
| 30.31 | 100.0 |
| 35.14 | 70.0 |
| 50.56 | 40.9 |
| 60.05 | 30.8 |
| 82.32 | 16.0 |
| 60.14 | 15.2 |



[2]
This entry pairs a crystal structure of NpPd5 with its computed powder diffractogram. Radiation: Cu Kα. Structure: a PBE-relaxed structure.

Cell and atoms:
a b c (Å): 9.125 4.111 5.706
angles (deg): 90.00 108.49 90.00
Sites, in units of the cell vectors:
Np 0.000 0.000 0.000
Np 0.500 0.500 0.000
Pd 0.000 0.000 0.500
Pd 0.164 0.500 0.825
Pd 0.167 0.500 0.329
Pd 0.333 0.000 0.671
Pd 0.336 0.000 0.175
Pd 0.500 0.500 0.500
Pd 0.664 0.000 0.825
Pd 0.667 0.000 0.329
Pd 0.833 0.500 0.671
Pd 0.836 0.500 0.175

Principal peaks in the range 15 to 90 degrees two-theta, by intensity:
| two_theta | I (rel.) |
| --- | --- |
| 38.11 | 100.0 |
| 38.41 | 97.6 |
| 44.05 | 35.9 |
| 44.56 | 32.1 |
| 44.78 | 31.5 |
| 64.63 | 31.4 |



[3]
This entry pairs a crystal structure of Sr2Ac3Hg2 with its computed powder diffractogram. Radiation: Cu Kα. Structure: a PBE-relaxed structure.

Cell and atoms:
a b c (Å): 4.036 34.628 3.997
angles (deg): 90.00 90.00 90.00
Sites, in units of the cell vectors:
Sr 0.000 0.195 0.000
Sr 0.000 0.805 0.000
Sr 0.500 0.305 0.000
Sr 0.500 0.695 0.000
Ac 0.000 0.081 0.000
Ac 0.000 0.500 0.500
Ac 0.000 0.919 0.000
Ac 0.500 0.000 0.500
Ac 0.500 0.419 0.000
Ac 0.500 0.581 0.000
Hg 0.000 0.360 0.500
Hg 0.000 0.640 0.500
Hg 0.500 0.140 0.500
Hg 0.500 0.860 0.500

Principal peaks in the range 15 to 90 degrees two-theta, by intensity:
| two_theta | I (rel.) |
| --- | --- |
| 31.61 | 100.0 |
| 28.54 | 99.0 |
| 30.44 | 57.2 |
| 27.14 | 54.0 |
| 54.49 | 33.7 |
| 55.24 | 24.7 |